Record 1
# LaDy7Mg2
Theoretical powder XRD pattern, Cu Kα X-rays. Input: a crystal structure in Alexandria, relaxed with PBE.

Main lines, in order of falling intensity (2θ = 15–90°):
d = 2.630 Å, I = 1000
d = 2.946 Å, I = 904
d = 2.537 Å, I = 892
d = 3.224 Å, I = 831
d = 2.734 Å, I = 684
d = 3.412 Å, I = 626
d = 2.004 Å, I = 608
d = 1.460 Å, I = 358
d = 5.468 Å, I = 347
d = 4.511 Å, I = 344

```
LaDy7Mg2
1.0
4.367 -7.983 0.000
4.367 7.983 0.000
0.000 0.000 5.468
La Dy Mg
1 7 2
direct
0.000 0.000 0.000
0.065 0.298 0.500
0.221 0.779 0.000
0.298 0.065 0.500
0.500 0.500 0.500
0.702 0.935 0.500
0.779 0.221 0.000
0.935 0.702 0.500
0.297 0.703 0.500
0.703 0.297 0.500
```

=====

Record 2
# LaDy4Mg
Theoretical powder XRD pattern, Cu Kα X-rays. Input: a crystal structure in Alexandria, relaxed with PBE.

Main lines, in order of falling intensity (2θ = 15–90°):
d = 2.878 Å, I = 1000
d = 2.565 Å, I = 396
d = 1.534 Å, I = 303
d = 1.738 Å, I = 176
d = 1.814 Å, I = 142
d = 3.229 Å, I = 119
d = 2.364 Å, I = 112
d = 1.439 Å, I = 94
d = 1.593 Å, I = 86
d = 1.903 Å, I = 82

```
LaDy4Mg
1.0
3.627 0.000 0.000
0.000 3.627 0.000
0.000 0.000 14.186
La Dy Mg
1 4 1
direct
0.000 0.000 0.000
0.000 0.000 0.352
0.000 0.000 0.648
0.500 0.500 0.182
0.500 0.500 0.818
0.500 0.500 0.500
```

=====

Record 3
# La5Dy2Mg
Theoretical powder XRD pattern, Cu Kα X-rays. Input: a crystal structure in Alexandria, relaxed with PBE.

Main lines, in order of falling intensity (2θ = 15–90°):
d = 2.964 Å, I = 1000
d = 2.593 Å, I = 347
d = 1.806 Å, I = 237
d = 2.518 Å, I = 160
d = 1.561 Å, I = 147
d = 1.558 Å, I = 147
d = 1.526 Å, I = 136
d = 1.837 Å, I = 62
d = 1.484 Å, I = 62
d = 1.830 Å, I = 62

```
La5Dy2Mg
1.0
-3.675 5.036 3.659
3.675 -5.036 3.659
3.675 5.036 -3.659
La Dy Mg
5 2 1
direct
0.000 0.000 0.000
0.003 0.001 0.501
0.003 0.502 0.001
0.500 0.001 0.999
0.500 0.502 0.499
0.502 0.502 0.000
0.504 0.004 0.500
0.001 0.501 0.500
```

=====

Record 4
# La6DyMg
Theoretical powder XRD pattern, Cu Kα X-rays. Input: a crystal structure in Alexandria, relaxed with PBE.

Main lines, in order of falling intensity (2θ = 15–90°):
d = 2.984 Å, I = 1000
d = 2.584 Å, I = 506
d = 1.558 Å, I = 429
d = 1.827 Å, I = 361
d = 1.186 Å, I = 174
d = 1.156 Å, I = 162
d = 1.492 Å, I = 123
d = 1.292 Å, I = 57
d = 4.623 Å, I = 52
d = 3.446 Å, I = 35

```
La6DyMg
1.0
5.168 0.000 0.000
0.000 5.168 0.000
0.000 0.000 10.341
La Dy Mg
6 1 1
direct
0.000 0.000 0.000
0.000 0.000 0.500
0.000 0.500 0.249
0.000 0.500 0.751
0.500 0.000 0.249
0.500 0.000 0.751
0.500 0.500 0.500
0.500 0.500 0.000
```

=====

Record 5
# La5DyMg6
Theoretical powder XRD pattern, Cu Kα X-rays. Input: a crystal structure in Alexandria, relaxed with PBE.

Main lines, in order of falling intensity (2θ = 15–90°):
d = 2.783 Å, I = 1000
d = 3.935 Å, I = 577
d = 1.605 Å, I = 251
d = 2.272 Å, I = 179
d = 1.758 Å, I = 164
d = 1.609 Å, I = 127
d = 1.965 Å, I = 121
d = 1.243 Å, I = 105
d = 1.763 Å, I = 84
d = 1.312 Å, I = 78

```
La5DyMg6
1.0
2.778 -8.340 0.000
2.778 8.340 0.000
0.000 0.000 7.891
La Dy Mg
5 1 6
direct
0.000 0.000 0.000
0.330 0.670 0.000
0.335 0.665 0.500
0.665 0.335 0.500
0.670 0.330 0.000
0.000 0.000 0.500
0.164 0.836 0.256
0.164 0.836 0.744
0.500 0.500 0.255
0.500 0.500 0.745
0.836 0.164 0.256
0.836 0.164 0.744
```

=====

Record 6
# La6NdDy2Mg
Theoretical powder XRD pattern, Cu Kα X-rays. Input: a crystal structure in Alexandria, relaxed with PBE.

Main lines, in order of falling intensity (2θ = 15–90°):
d = 3.040 Å, I = 1000
d = 2.837 Å, I = 594
d = 2.849 Å, I = 580
d = 2.988 Å, I = 528
d = 2.892 Å, I = 450
d = 2.936 Å, I = 343
d = 3.249 Å, I = 334
d = 3.371 Å, I = 274
d = 2.605 Å, I = 215
d = 1.674 Å, I = 211

```
La6NdDy2Mg
1.0
5.328 -6.926 0.000
5.328 6.926 0.000
-1.577 0.000 9.378
La Nd Dy Mg
12 2 4 2
direct
0.045 0.466 0.671
0.060 0.823 0.901
0.177 0.940 0.599
0.241 0.580 0.081
0.420 0.759 0.419
0.466 0.045 0.171
0.534 0.955 0.829
0.580 0.241 0.581
0.759 0.420 0.919
0.823 0.060 0.401
0.940 0.177 0.099
0.955 0.534 0.329
0.431 0.569 0.750
0.569 0.431 0.250
0.235 0.301 0.404
0.301 0.235 0.904
0.699 0.765 0.096
0.765 0.699 0.596
0.097 0.903 0.250
0.903 0.097 0.750
```

=====

Repeat the third record exactly.
# La5Dy2Mg
Theoretical powder XRD pattern, Cu Kα X-rays. Input: a crystal structure in Alexandria, relaxed with PBE.

Main lines, in order of falling intensity (2θ = 15–90°):
d = 2.964 Å, I = 1000
d = 2.593 Å, I = 347
d = 1.806 Å, I = 237
d = 2.518 Å, I = 160
d = 1.561 Å, I = 147
d = 1.558 Å, I = 147
d = 1.526 Å, I = 136
d = 1.837 Å, I = 62
d = 1.484 Å, I = 62
d = 1.830 Å, I = 62

```
La5Dy2Mg
1.0
-3.675 5.036 3.659
3.675 -5.036 3.659
3.675 5.036 -3.659
La Dy Mg
5 2 1
direct
0.000 0.000 0.000
0.003 0.001 0.501
0.003 0.502 0.001
0.500 0.001 0.999
0.500 0.502 0.499
0.502 0.502 0.000
0.504 0.004 0.500
0.001 0.501 0.500
```

=====

What is the formula in the third record?
La5Dy2Mg